Entry 1:
Starting from a GGA-PBE-relaxed structure, the powder X-ray diffraction pattern of Th2ScS3 was computed for λ = 1.5418 Å (Cu Kα).

Cell and atoms:
```
Th2ScS3
1.0
3.383 -5.845 0.000
3.383 5.845 0.000
-2.252 0.000 6.550
Th Sc S
4 2 6
Direct
0.000 0.000 0.000
0.160 0.840 0.500
0.500 0.500 0.500
0.840 0.160 0.500
0.333 0.667 0.000
0.667 0.333 0.000
0.076 0.428 0.231
0.277 0.277 0.777
0.428 0.076 0.231
0.572 0.924 0.769
0.723 0.723 0.223
0.924 0.572 0.769
```

Most intense lines, 10° ≤ 2θ ≤ 90°, low angle first:
2theta  Rel. int.
13.5  18
26.8  15
27.2  23
27.9  63
32.2  100
45.7  37
46.6  35
54.8  21
57.7  12
75.9  16

=====

Entry 2:
Starting from a GGA-PBE-relaxed structure, the powder X-ray diffraction pattern of SnBiAuSe was computed for λ = 1.5418 Å (Cu Kα).

Cell and atoms:
```
SnBiAuSe
1.0
2.477 1.430 11.221
-2.477 1.430 11.221
0.000 -2.860 11.221
Sn Bi Au Se
2 2 2 2
Direct
0.112 0.112 0.112
0.888 0.888 0.888
0.291 0.291 0.291
0.709 0.709 0.709
0.381 0.381 0.381
0.619 0.619 0.619
0.203 0.203 0.203
0.797 0.797 0.797
```

Most intense lines, 10° ≤ 2θ ≤ 90°, low angle first:
2theta  Rel. int.
21.4  46
23.3  25
31.9  35
33.8  56
36.3  100
49.1  64
50.5  19
63.7  19
65.3  19
74.5  19

=====

Entry 3:
Starting from a GGA-PBE-relaxed structure, the powder X-ray diffraction pattern of Ac2Ge3Pd9 was computed for λ = 1.5418 Å (Cu Kα).

Cell and atoms:
```
Ac2Ge3Pd9
1.0
6.910 -3.929 0.000
6.910 3.929 0.000
-4.684 0.000 9.469
Ac Ge Pd
4 6 18
Direct
0.082 0.260 0.247
0.260 0.082 0.747
0.740 0.918 0.253
0.918 0.740 0.753
0.000 0.500 0.000
0.158 0.673 0.500
0.327 0.842 0.000
0.500 0.000 0.500
0.673 0.158 0.000
0.842 0.327 0.500
0.017 0.866 0.078
0.134 0.983 0.422
0.187 0.356 0.567
0.215 0.578 0.253
0.319 0.493 0.971
0.356 0.187 0.067
0.372 0.628 0.750
0.422 0.785 0.247
0.493 0.319 0.471
0.507 0.681 0.529
0.578 0.215 0.753
0.628 0.372 0.250
0.644 0.813 0.933
0.681 0.507 0.029
0.785 0.422 0.747
0.813 0.644 0.433
0.866 0.017 0.578
0.983 0.134 0.922
```

Most intense lines, 10° ≤ 2θ ≤ 90°, low angle first:
2theta  Rel. int.
34.2  15
35.0  16
36.2  52
36.5  100
36.6  13
38.0  44
39.1  41
39.6  79
41.4  13
55.9  12